Computed powder diffraction line list
Compound: Rb4PaTe4
Radiation: Cu Kα (weighted mean of Kα1 and Kα2)
Structure: DFT lattice parameters and positions (PBE)
No peak broadening, texture or thermal motion is included.

Largest 10 diffraction maxima, in order of falling intensity, 10° ≤ 2θ ≤ 90°:
11.72 deg, I 100
28.93 deg, I 95
31.36 deg, I 73
18.58 deg, I 64
20.40 deg, I 23
23.53 deg, I 23
46.50 deg, I 23
37.60 deg, I 22
14.33 deg, I 22
35.64 deg, I 22

Structure:
abc: 9.737 9.737 9.737
angles: 126.68 126.68 78.78
Element x y z (fractional)
Rb (0.000, 0.500, 0.500)
Rb (0.201, 0.201, 0.000)
Rb (0.500, 0.000, 0.500)
Rb (0.799, 0.799, 0.000)
Pa (0.500, 0.500, 0.000)
Te (0.191, 0.582, 0.000)
Te (0.418, 0.418, 0.609)
Te (0.582, 0.191, 0.000)
Te (0.809, 0.809, 0.391)